Record 1
TiCdO3: simulated XRD peak list (Cu Kα (λ = 1.5418 Å)), based on the PBE geometry in the Materials Project.

Most intense lines, 2θ = 10–90°, low angle first:
- 4.397 Å, I = 20
- 2.918 Å, I = 100
- 2.653 Å, I = 71
- 2.347 Å, I = 24
- 1.963 Å, I = 36
- 1.827 Å, I = 30
- 1.578 Å, I = 32
- 1.532 Å, I = 23

Structure:
Lattice parameters (Å, degrees): 5.894 5.894 5.894 53.51 53.51 53.51
Positions (direct):
Ti  0.149  0.149  0.149
Ti  0.851  0.851  0.851
Cd  0.363  0.363  0.363
Cd  0.637  0.637  0.637
O  0.037  0.437  0.805
O  0.195  0.963  0.563
O  0.437  0.805  0.037
O  0.563  0.195  0.963
O  0.805  0.037  0.437
O  0.963  0.563  0.195

---

Record 2
Ti2CdO6: simulated XRD peak list (Cu Kα (λ = 1.5418 Å)), based on the PBE geometry in the Materials Project.

Most intense lines, 2θ = 10–90°, low angle first:
- 4.633 Å, I = 48
- 4.555 Å, I = 100
- 4.259 Å, I = 51
- 3.080 Å, I = 41
- 2.857 Å, I = 38
- 2.820 Å, I = 31
- 2.742 Å, I = 37
- 2.515 Å, I = 38

Structure:
Lattice parameters (Å, degrees): 5.734 6.165 7.061 87.96 85.06 89.42
Positions (direct):
Ti  0.000  0.000  0.000
Ti  0.068  0.150  0.481
Ti  0.496  0.666  0.005
Ti  0.638  0.628  0.482
Cd  0.082  0.620  0.736
Cd  0.559  0.133  0.265
O  0.058  0.012  0.739
O  0.161  0.085  0.215
O  0.168  0.730  0.017
O  0.337  0.266  0.509
O  0.464  0.662  0.713
O  0.481  0.604  0.266
O  0.686  0.903  0.019
O  0.696  0.419  0.931
O  0.791  0.880  0.446
O  0.850  0.400  0.604
O  0.851  0.307  0.056
O  0.878  0.397  0.384

---

Record 3
U7Cd3O20: simulated XRD peak list (Cu Kα (λ = 1.5418 Å)), based on the PBE geometry in the Materials Project.

Most intense lines, 2θ = 10–90°, low angle first:
- 3.104 Å, I = 100
- 3.086 Å, I = 33
- 2.685 Å, I = 47
- 1.902 Å, I = 33
- 1.898 Å, I = 11
- 1.892 Å, I = 22
- 1.622 Å, I = 26
- 1.618 Å, I = 21

Structure:
Lattice parameters (Å, degrees): 10.061 10.061 6.545 96.25 96.25 141.74
Positions (direct):
U  0.000  0.000  0.000
U  0.100  0.900  0.500
U  0.301  0.699  0.500
U  0.399  0.601  0.000
U  0.601  0.399  0.000
U  0.699  0.301  0.500
U  0.900  0.100  0.500
Cd  0.202  0.798  0.000
Cd  0.500  0.500  0.500
Cd  0.798  0.202  0.000
O  0.031  0.223  0.869
O  0.069  0.670  0.605
O  0.111  0.111  0.370
O  0.192  0.581  0.143
O  0.223  0.031  0.869
O  0.264  0.468  0.626
O  0.330  0.931  0.395
O  0.369  0.369  0.110
O  0.419  0.808  0.857
O  0.468  0.264  0.626
O  0.532  0.736  0.374
O  0.581  0.192  0.143
O  0.631  0.631  0.890
O  0.670  0.069  0.605
O  0.736  0.532  0.374
O  0.777  0.969  0.131
O  0.808  0.419  0.857
O  0.889  0.889  0.630
O  0.931  0.330  0.395
O  0.969  0.777  0.131